[1]
The following is a calculated powder diffraction line list of NaCuAg2F4. It was derived from the PBE geometry in Alexandria, using Cu Kα.
Intensities are scaled so that the largest is 100.

Largest 12 diffraction maxima, by intensity, 10° ≤ 2θ ≤ 90°:
(0 2 1), 2θ 36.55, I 100; (1 0 0), 2θ 19.88, I 68; (1 1 0), 2θ 29.16, I 50; (0 0 2), 2θ 39.25, I 48; (1 1 2), 2θ 32.47, I 36; (2 2 2), 2θ 48.74, I 24; (-1 1 1), 2θ 33.75, I 23; (-1 2 1), 2θ 44.77, I 22; (1 -1 1), 2θ 33.63, I 22; (1 0 2), 2θ 35.63, I 20; (1 2 2), 2θ 40.94, I 19; (0 2 -1), 2θ 52.50, I 14

Structure:
```
NaCuAg2F4
1.0
4.973 0.000 0.000
0.697 4.934 0.000
2.475 2.130 4.590
Na Cu Ag F
1 1 2 4
Cartesian
0.000 0.000 0.000
3.030 4.732 2.284
2.900 2.409 0.013
4.815 2.671 2.293
2.902 4.570 4.196
2.228 2.139 2.365
3.188 4.867 0.371
5.678 5.153 2.233
```

[2]
The following is a calculated powder diffraction line list of Cu2AgPdF8. It was derived from the PBE geometry in Alexandria, using Cu Kα.
Intensities are scaled so that the largest is 100.

Largest 12 diffraction maxima, by intensity, 10° ≤ 2θ ≤ 90°:
(1 1 0), 2θ 25.60, I 100; (1 0 2), 2θ 30.72, I 99; (1 -1 0), 2θ 26.42, I 86; (1 0 -2), 2θ 32.97, I 59; (2 1 2), 2θ 46.84, I 40; (2 -1 2), 2θ 49.40, I 35; (2 1 -2), 2θ 51.54, I 32; (0 2 0), 2θ 37.12, I 28; (-2 1 2), 2θ 50.94, I 25; (-1 1 2), 2θ 37.29, I 24; (0 3 2), 2θ 61.63, I 21; (0 0 4), 2θ 53.14, I 19

Structure:
```
Cu2AgPdF8
1.0
4.856 0.000 0.000
0.177 4.861 0.000
0.524 0.500 6.894
Cu Ag Pd F
2 1 1 8
Cartesian
0.146 0.140 1.694
5.412 5.221 5.200
2.779 2.681 3.447
2.517 2.431 0.000
1.191 1.133 3.651
1.034 0.984 0.176
1.602 3.539 1.514
1.953 3.872 5.381
3.604 1.489 1.513
3.955 1.822 5.380
4.523 4.377 6.718
4.367 4.228 3.243
```